Computed powder XRD pattern
Compound: Li5Mn5Sb2O12
Radiation: a wavelength of 1.5418 Å
Structure: a PBE+U-relaxed structure

Cell and atoms:
```
Li5Mn5Sb2O12
1.0
2.7041 -4.7785 0.0000
2.7041 4.7785 0.0000
-2.1915 0.0000 10.1734
Li Mn Sb O
5 5 2 12
direct
0.0000 0.0000 0.0000
0.0648 0.4117 0.2484
0.2655 0.2417 0.7535
0.5883 0.9352 0.7516
0.7583 0.7345 0.2465
0.3425 0.6575 0.0000
0.4045 0.0757 0.2442
0.4968 0.5032 0.5000
0.8363 0.1637 0.5000
0.9243 0.5955 0.7558
0.1668 0.8332 0.5000
0.6712 0.3288 0.0000
0.0263 0.6791 0.1181
0.1214 0.1076 0.3748
0.2105 0.5608 0.6230
0.3209 0.9737 0.8819
0.4103 0.3703 0.1139
0.4392 0.7895 0.3770
0.5421 0.2095 0.6203
0.6297 0.5897 0.8861
0.7060 0.0681 0.1161
0.7905 0.4579 0.3797
0.8924 0.8786 0.6252
0.9319 0.2940 0.8839
```

Largest 10 diffraction maxima, sorted by position, 10° ≤ 2θ ≤ 90°:
2theta	I/Imax
17.4	63
18.6	46
22.5	58
29.7	26
33.1	21
35.0	31
40.1	100
41.7	41
58.9	25
59.6	24